No. 1
# Sr4Bi6Se13
Computed X-ray powder pattern, Cu Kα. Input: a crystal structure in Alexandria, relaxed with PBE.
Peak positions follow from Bragg's law for the DFT cell and can differ from measured ones.

Structure:
```
46
Lattice="17.2761 0.0000 0.0000 0.0000 4.2709 0.0000 -0.1523 0.0000 18.7278" Properties=species:S:1:pos:R:3 pbc="T T T"
Sr 0.1527 1.0677 4.7561
Sr 4.3193 3.2032 14.4356
Sr 4.6301 1.0677 5.9768
Sr 8.3931 1.0677 3.0308
Sr 8.7307 3.2032 15.6970
Sr 12.4937 3.2032 12.7510
Sr 12.8045 1.0677 4.2922
Sr 16.9710 3.2032 13.9718
Bi 1.3010 1.0677 17.2736
Bi 1.7605 1.0677 9.6811
Bi 2.9670 3.2032 2.2386
Bi 5.2988 3.2032 10.2070
Bi 5.5493 1.0677 18.3164
Bi 8.4082 3.2032 7.1640
Bi 8.7155 1.0677 11.5638
Bi 11.5745 3.2032 0.4114
Bi 11.8249 1.0677 8.5208
Bi 14.1568 1.0677 16.4892
Bi 15.3633 3.2032 9.0468
Bi 15.8228 3.2032 1.4542
Se 0.3061 3.2032 10.9926
Se 0.6717 1.0677 1.6859
Se 1.9007 1.0677 14.5692
Se 2.4149 3.2032 4.9405
Se 3.3105 3.2032 8.1910
Se 3.2918 3.2032 17.6909
Se 3.9383 1.0677 11.7254
Se 4.8171 1.0677 2.5928
Se 6.3654 1.0677 15.6298
Se 6.7418 1.0677 8.6551
Se 6.7814 3.2032 4.9399
Se 7.1544 3.2032 12.6667
Se 7.4391 3.2032 0.2814
Se 9.6847 1.0677 18.4465
Se 9.9694 1.0677 6.0611
Se 10.3424 1.0677 13.7880
Se 10.3820 3.2032 10.0727
Se 10.7583 3.2032 3.0980
Se 12.3066 3.2032 16.1350
Se 13.1854 3.2032 7.0024
Se 13.8320 1.0677 1.0370
Se 13.8133 1.0677 10.5368
Se 14.7089 1.0677 13.7873
Se 15.2230 3.2032 4.1587
Se 16.4520 3.2032 17.0419
Se 16.8176 1.0677 7.7352
```

Largest 10 diffraction maxima, sorted by position, 2θ = 5–70°:
9.4 deg, I 68; 24.3 deg, I 48; 27.6 deg, I 49; 29.0 deg, I 40; 29.4 deg, I 47; 29.7 deg, I 68; 29.8 deg, I 100; 36.1 deg, I 40; 41.2 deg, I 41; 42.3 deg, I 81

=====

No. 2
# Pr5Dy6Ho2
Computed X-ray powder pattern, Cu Kα. Input: a crystal structure in Alexandria, relaxed with PBE.
Peak positions follow from Bragg's law for the DFT cell and can differ from measured ones.

Structure:
```
26
Lattice="11.6978 0.0000 0.0000 0.0000 20.6833 0.0000 0.0000 0.0000 3.6177" Properties=species:S:1:pos:R:3 pbc="T T T"
Pr 0.0000 0.0000 0.0000
Pr 0.9739 5.6502 0.0000
Pr 2.3196 11.4038 0.0000
Pr 3.5293 1.0621 0.0000
Pr 4.8750 15.9918 0.0000
Pr 5.8489 10.3417 0.0000
Pr 6.8228 4.6915 0.0000
Pr 8.1685 19.6212 0.0000
Pr 9.3782 9.2795 0.0000
Pr 10.7238 15.0332 0.0000
Dy 0.7331 8.6687 1.8089
Dy 0.9417 2.7305 1.8089
Dy 2.0490 17.8193 0.0000
Dy 3.7999 7.4776 0.0000
Dy 4.9072 13.0722 1.8089
Dy 5.1157 19.0104 1.8089
Dy 6.5820 1.6730 1.8089
Dy 6.7905 7.6112 1.8089
Dy 7.8978 13.2058 0.0000
Dy 9.6488 2.8641 0.0000
Dy 10.7561 17.9528 1.8089
Dy 10.9646 12.0146 1.8089
Ho 2.0104 14.7109 1.8089
Ho 3.8385 4.3692 1.8089
Ho 7.8592 16.3142 1.8089
Ho 9.6874 5.9725 1.8089
```

Largest 10 diffraction maxima, sorted by position, 2θ = 5–70°:
30.9 deg, I 55; 31.2 deg, I 100; 31.8 deg, I 88; 33.9 deg, I 38; 34.7 deg, I 17; 36.3 deg, I 39; 50.5 deg, I 19; 56.5 deg, I 20; 60.3 deg, I 20; 60.5 deg, I 17

=====

No. 3
# Sr3CeSm2Te6
Computed X-ray powder pattern, Cu Kα. Input: a crystal structure in Alexandria, relaxed with PBE.
Peak positions follow from Bragg's law for the DFT cell and can differ from measured ones.

Structure:
```
12
Lattice="3.9422 -6.8225 0.0000 3.9422 6.8225 0.0000 -2.6260 0.0000 7.6419" Properties=species:S:1:pos:R:3 pbc="T T T"
Sr 0.0000 0.0000 0.0000
Sr 3.9422 2.2654 0.0000
Sr 3.9422 -2.2654 0.0000
Ce 2.6292 0.0000 3.8210
Sm 2.6292 4.5482 3.8210
Sm 2.6292 -4.5482 3.8210
Te 1.3037 2.2935 1.9945
Te -0.0208 0.0000 5.6412
Te 1.3037 -2.2935 1.9945
Te 3.9548 2.2935 5.6474
Te 5.2792 0.0000 2.0008
Te 3.9548 -2.2935 5.6474
```

Largest 10 diffraction maxima, sorted by position, 2θ = 5–70°:
27.5 deg, I 100; 38.9 deg, I 39; 39.6 deg, I 38; 47.6 deg, I 7; 48.9 deg, I 7; 48.9 deg, I 14; 56.7 deg, I 13; 63.6 deg, I 18; 64.7 deg, I 17; 69.8 deg, I 6